For Sr2AlGaNi2O7, a GGA+U-relaxed structure gives the computed powder diffractogram in this record (Cu Kα (weighted mean of Kα1 and Kα2)).

abc: 21.823 5.292 5.859
angles: 90.00 97.38 90.00
Space group Cc (No. 9)
Inequivalent atoms, fractional coordinates:
Sr: 0.000 0.238 0.000 [4 per cell]
Sr: 0.297 0.250 0.537 [4 per cell]
Al: 0.149 0.209 0.299 [4 per cell]
Ga: 0.402 0.302 0.979 [4 per cell]
Ni: 0.077 0.258 0.604 [4 per cell]
Ni: 0.195 0.293 0.904 [4 per cell]
O: 0.074 0.058 0.294 [4 per cell]
O: 0.110 0.477 0.883 [4 per cell]
O: 0.179 0.063 0.594 [4 per cell]
O: 0.217 0.397 0.236 [4 per cell]
O: 0.322 0.188 0.966 [4 per cell]
O: 0.405 0.402 0.667 [4 per cell]
O: 0.480 0.175 0.075 [4 per cell]

Main lines, by intensity (2θ from 10° to 90°):
d [Å], intensity, hkl
2.785, 100, 5 1 1
3.036, 82, 5 1 -1
2.646, 47, 0 2 0
2.904, 46, 0 0 2
1.956, 33, 0 2 2
2.133, 32, 9 1 -1
2.164, 26, 10 0 0
1.893, 24, 4 2 -2
2.708, 21, 4 0 -2
1.393, 19, 10 2 2